Diffraction record for Na2LiWSe4. The powder diffraction line list is calculated, not measured: it uses a DFT-relaxed cell (GGA-PBE, Alexandria) and copper Kα.
Peak positions follow from Bragg's law for the DFT cell and can differ from measured ones.

Cell and atoms:
```
data_Na2LiWSe4
_chemical_formula_sum 'Na4 Li2 W2 Se8'
_cell_length_a 6.5682
_cell_length_b 6.5682
_cell_length_c 10.9412
_cell_angle_alpha 90.00
_cell_angle_beta 90.00
_cell_angle_gamma 90.00
_symmetry_space_group_name_H-M 'P 1'
_symmetry_Int_Tables_number 1
loop_
_symmetry_equiv_pos_as_xyz
'x,y,z'
loop_
_atom_site_label
_atom_site_type_symbol
_atom_site_fract_x
_atom_site_fract_y
_atom_site_fract_z
Na1 Na 0.0000 0.0000 0.0000
Na2 Na 0.0000 0.5000 0.2500
Na3 Na 0.5000 0.0000 0.7500
Na4 Na 0.5000 0.5000 0.5000
Li1 Li 0.0000 0.0000 0.5000
Li2 Li 0.5000 0.5000 0.0000
W1 W 0.0000 0.5000 0.7500
W2 W 0.5000 0.0000 0.2500
Se1 Se 0.1916 0.7324 0.6287
Se2 Se 0.2324 0.3084 0.8713
Se3 Se 0.2676 0.1916 0.3713
Se4 Se 0.3084 0.7676 0.1287
Se5 Se 0.6916 0.2324 0.1287
Se6 Se 0.7324 0.8084 0.3713
Se7 Se 0.7676 0.6916 0.8713
Se8 Se 0.8084 0.2676 0.6287
```

Largest 8 diffraction maxima, by intensity, 15° ≤ 2θ ≤ 90°:
2θ 25.15, I = 100
2θ 15.74, I = 91
2θ 43.04, I = 42
2θ 46.78, I = 26
2θ 38.78, I = 24
2θ 19.11, I = 23
2θ 39.39, I = 23
2θ 31.54, I = 20

---

Diffraction record for Ac4ThTe5. The powder diffraction line list is calculated, not measured: it uses a DFT-relaxed cell (GGA-PBE, Alexandria) and copper Kα.
Peak positions follow from Bragg's law for the DFT cell and can differ from measured ones.

Cell and atoms:
```
data_Ac4ThTe5
_chemical_formula_sum 'Ac4 Th1 Te5'
_cell_length_a 19.1828
_cell_length_b 19.1828
_cell_length_c 19.1828
_cell_angle_alpha 14.04
_cell_angle_beta 14.04
_cell_angle_gamma 14.04
_symmetry_space_group_name_H-M 'P 1'
_symmetry_Int_Tables_number 1
loop_
_symmetry_equiv_pos_as_xyz
'x,y,z'
loop_
_atom_site_label
_atom_site_type_symbol
_atom_site_fract_x
_atom_site_fract_y
_atom_site_fract_z
Ac1 Ac 0.1036 0.1036 0.1036
Ac2 Ac 0.2993 0.2993 0.2993
Ac3 Ac 0.7007 0.7007 0.7007
Ac4 Ac 0.8964 0.8964 0.8964
Th1 Th 0.5000 0.5000 0.5000
Te1 Te 0.0000 0.0000 0.0000
Te2 Te 0.1965 0.1965 0.1965
Te3 Te 0.4020 0.4020 0.4020
Te4 Te 0.5980 0.5980 0.5980
Te5 Te 0.8035 0.8035 0.8035
```

Largest 8 diffraction maxima, by intensity, 15° ≤ 2θ ≤ 90°:
2θ 26.96, I = 100
2θ 38.39, I = 41
2θ 38.61, I = 37
2θ 47.54, I = 22
2θ 62.68, I = 19
2θ 62.99, I = 16
2θ 69.57, I = 13
2θ 55.58, I = 13

---

Diffraction record for Sr2Ag12Pd5. The powder diffraction line list is calculated, not measured: it uses a DFT-relaxed cell (GGA-PBE, Alexandria) and copper Kα.
Peak positions follow from Bragg's law for the DFT cell and can differ from measured ones.

Cell and atoms:
```
data_Sr2Ag12Pd5
_chemical_formula_sum 'Sr2 Ag12 Pd5'
_cell_length_a 7.2673
_cell_length_b 7.2673
_cell_length_c 7.2673
_cell_angle_alpha 82.84
_cell_angle_beta 82.84
_cell_angle_gamma 82.84
_symmetry_space_group_name_H-M 'P 1'
_symmetry_Int_Tables_number 1
loop_
_symmetry_equiv_pos_as_xyz
'x,y,z'
loop_
_atom_site_label
_atom_site_type_symbol
_atom_site_fract_x
_atom_site_fract_y
_atom_site_fract_z
Sr1 Sr 0.1751 0.1751 0.1751
Sr2 Sr 0.8249 0.8249 0.8249
Ag1 Ag 0.1529 0.1529 0.6504
Ag2 Ag 0.1529 0.6504 0.1529
Ag3 Ag 0.2070 0.5000 0.7930
Ag4 Ag 0.2070 0.7930 0.5000
Ag5 Ag 0.3496 0.8471 0.8471
Ag6 Ag 0.5000 0.2070 0.7930
Ag7 Ag 0.5000 0.7930 0.2070
Ag8 Ag 0.6504 0.1529 0.1529
Ag9 Ag 0.7930 0.2070 0.5000
Ag10 Ag 0.7930 0.5000 0.2070
Ag11 Ag 0.8471 0.3496 0.8471
Ag12 Ag 0.8471 0.8471 0.3496
Pd1 Pd 0.0000 0.5000 0.5000
Pd2 Pd 0.4009 0.4009 0.4009
Pd3 Pd 0.5000 0.0000 0.5000
Pd4 Pd 0.5000 0.5000 0.0000
Pd5 Pd 0.5991 0.5991 0.5991
```

Largest 8 diffraction maxima, by intensity, 15° ≤ 2θ ≤ 90°:
2θ 37.66, I = 100
2θ 42.25, I = 96
2θ 37.41, I = 65
2θ 38.39, I = 45
2θ 32.25, I = 29
2θ 38.62, I = 29
2θ 42.91, I = 27
2θ 68.94, I = 26

---

Diffraction record for Sc12Ni6Te. The powder diffraction line list is calculated, not measured: it uses a DFT-relaxed cell (GGA-PBE, Alexandria) and copper Kα.
Peak positions follow from Bragg's law for the DFT cell and can differ from measured ones.

Cell and atoms:
```
data_Sc12Ni6Te
_chemical_formula_sum 'Sc12 Ni6 Te1'
_cell_length_a 7.8584
_cell_length_b 7.8584
_cell_length_c 7.8584
_cell_angle_alpha 109.47
_cell_angle_beta 109.47
_cell_angle_gamma 109.47
_symmetry_space_group_name_H-M 'P 1'
_symmetry_Int_Tables_number 1
loop_
_symmetry_equiv_pos_as_xyz
'x,y,z'
loop_
_atom_site_label
_atom_site_type_symbol
_atom_site_fract_x
_atom_site_fract_y
_atom_site_fract_z
Sc1 Sc 0.1112 0.8097 0.3015
Sc2 Sc 0.1903 0.3015 0.4918
Sc3 Sc 0.1903 0.6985 0.8888
Sc4 Sc 0.3015 0.1112 0.8097
Sc5 Sc 0.3015 0.4918 0.1903
Sc6 Sc 0.4918 0.1903 0.3015
Sc7 Sc 0.5082 0.8097 0.6985
Sc8 Sc 0.6985 0.5082 0.8097
Sc9 Sc 0.6985 0.8888 0.1903
Sc10 Sc 0.8097 0.3015 0.1112
Sc11 Sc 0.8097 0.6985 0.5082
Sc12 Sc 0.8888 0.1903 0.6985
Ni1 Ni 0.1317 0.6317 0.5000
Ni2 Ni 0.3683 0.5000 0.8683
Ni3 Ni 0.5000 0.1317 0.6317
Ni4 Ni 0.5000 0.8683 0.3683
Ni5 Ni 0.6317 0.5000 0.1317
Ni6 Ni 0.8683 0.3683 0.5000
Te1 Te 0.0000 0.0000 0.0000
```

Largest 8 diffraction maxima, by intensity, 15° ≤ 2θ ≤ 90°:
2θ 37.07, I = 100
2θ 51.34, I = 34
2θ 19.57, I = 30
2θ 34.23, I = 21
2θ 63.16, I = 18
2θ 39.73, I = 15
2θ 42.26, I = 15
2θ 73.85, I = 13

---

Diffraction record for Tb7Pm16Y6. The powder diffraction line list is calculated, not measured: it uses a DFT-relaxed cell (GGA-PBE, Alexandria) and copper Kα.
Peak positions follow from Bragg's law for the DFT cell and can differ from measured ones.

Cell and atoms:
```
data_Tb7Pm16Y6
_chemical_formula_sum 'Tb7 Pm16 Y6'
_cell_length_a 11.2880
_cell_length_b 11.2880
_cell_length_c 11.2880
_cell_angle_alpha 60.00
_cell_angle_beta 60.00
_cell_angle_gamma 60.00
_symmetry_space_group_name_H-M 'P 1'
_symmetry_Int_Tables_number 1
loop_
_symmetry_equiv_pos_as_xyz
'x,y,z'
loop_
_atom_site_label
_atom_site_type_symbol
_atom_site_fract_x
_atom_site_fract_y
_atom_site_fract_z
Tb1 Tb 0.0000 0.0000 0.0000
Tb2 Tb 0.0000 0.0000 0.5000
Tb3 Tb 0.0000 0.5000 0.0000
Tb4 Tb 0.0000 0.5000 0.5000
Tb5 Tb 0.5000 0.0000 0.0000
Tb6 Tb 0.5000 0.0000 0.5000
Tb7 Tb 0.5000 0.5000 0.0000
Pm1 Pm 0.0462 0.6513 0.6513
Pm2 Pm 0.1242 0.1242 0.1242
Pm3 Pm 0.1242 0.1242 0.6275
Pm4 Pm 0.1242 0.6275 0.1242
Pm5 Pm 0.3487 0.3487 0.3487
Pm6 Pm 0.3487 0.3487 0.9538
Pm7 Pm 0.3487 0.9538 0.3487
Pm8 Pm 0.3725 0.8758 0.8758
Pm9 Pm 0.6275 0.1242 0.1242
Pm10 Pm 0.6513 0.0462 0.6513
Pm11 Pm 0.6513 0.6513 0.0462
Pm12 Pm 0.6513 0.6513 0.6513
Pm13 Pm 0.8758 0.3725 0.8758
Pm14 Pm 0.8758 0.8758 0.3725
Pm15 Pm 0.8758 0.8758 0.8758
Pm16 Pm 0.9538 0.3487 0.3487
Y1 Y 0.2716 0.2716 0.7284
Y2 Y 0.2716 0.7284 0.2716
Y3 Y 0.2716 0.7284 0.7284
Y4 Y 0.7284 0.2716 0.2716
Y5 Y 0.7284 0.2716 0.7284
Y6 Y 0.7284 0.7284 0.2716
```

Largest 8 diffraction maxima, by intensity, 15° ≤ 2θ ≤ 90°:
2θ 31.71, I = 100
2θ 56.48, I = 26
2θ 45.45, I = 14
2θ 29.07, I = 11
2θ 33.20, I = 8
2θ 66.24, I = 7
2θ 75.30, I = 7
2θ 52.20, I = 6

---

Diffraction record for GeAu2S2. The powder diffraction line list is calculated, not measured: it uses a DFT-relaxed cell (GGA-PBE, Alexandria) and copper Kα.
Peak positions follow from Bragg's law for the DFT cell and can differ from measured ones.

Cell and atoms:
```
data_GeAu2S2
_chemical_formula_sum 'Ge2 Au4 S4'
_cell_length_a 7.6395
_cell_length_b 7.6395
_cell_length_c 7.6395
_cell_angle_alpha 138.68
_cell_angle_beta 138.68
_cell_angle_gamma 59.86
_symmetry_space_group_name_H-M 'P 1'
_symmetry_Int_Tables_number 1
loop_
_symmetry_equiv_pos_as_xyz
'x,y,z'
loop_
_atom_site_label
_atom_site_type_symbol
_atom_site_fract_x
_atom_site_fract_y
_atom_site_fract_z
Ge1 Ge 0.3750 0.6250 0.7500
Ge2 Ge 0.6250 0.3750 0.2500
Au1 Au 0.0227 0.7727 0.2500
Au2 Au 0.2273 0.9773 0.2500
Au3 Au 0.7727 0.0227 0.7500
Au4 Au 0.9773 0.2273 0.7500
S1 S 0.1662 0.4162 0.7500
S2 S 0.4162 0.1662 0.2500
S3 S 0.5838 0.8338 0.7500
S4 S 0.8338 0.5838 0.2500
```

Largest 8 diffraction maxima, by intensity, 15° ≤ 2θ ≤ 90°:
2θ 33.24, I = 100
2θ 37.87, I = 94
2θ 17.76, I = 75
2θ 51.24, I = 59
2θ 47.72, I = 36
2θ 26.97, I = 33
2θ 72.62, I = 21
2θ 76.11, I = 20

---

Diffraction record for CrTe2I. The powder diffraction line list is calculated, not measured: it uses a DFT-relaxed cell (GGA-PBE, Alexandria) and copper Kα.
Peak positions follow from Bragg's law for the DFT cell and can differ from measured ones.

Cell and atoms:
```
data_CrTe2I
_chemical_formula_sum 'Cr4 Te8 I4'
_cell_length_a 6.9819
_cell_length_b 5.3828
_cell_length_c 12.8863
_cell_angle_alpha 90.00
_cell_angle_beta 90.00
_cell_angle_gamma 90.00
_symmetry_space_group_name_H-M 'P 1'
_symmetry_Int_Tables_number 1
loop_
_symmetry_equiv_pos_as_xyz
'x,y,z'
loop_
_atom_site_label
_atom_site_type_symbol
_atom_site_fract_x
_atom_site_fract_y
_atom_site_fract_z
Cr1 Cr 0.2500 0.0000 0.0927
Cr2 Cr 0.2500 0.5000 0.4073
Cr3 Cr 0.7500 0.0000 0.9073
Cr4 Cr 0.7500 0.5000 0.5927
Te1 Te 0.0729 0.2251 0.5551
Te2 Te 0.0729 0.2749 0.9449
Te3 Te 0.4271 0.7251 0.9449
Te4 Te 0.4271 0.7749 0.5551
Te5 Te 0.5729 0.2251 0.4449
Te6 Te 0.5729 0.2749 0.0551
Te7 Te 0.9271 0.7251 0.0551
Te8 Te 0.9271 0.7749 0.4449
I1 I 0.0551 0.2500 0.2500
I2 I 0.4449 0.7500 0.2500
I3 I 0.5551 0.2500 0.7500
I4 I 0.9449 0.7500 0.7500
```

Largest 8 diffraction maxima, by intensity, 15° ≤ 2θ ≤ 90°:
2θ 29.52, I = 100
2θ 30.52, I = 37
2θ 44.26, I = 24
2θ 41.66, I = 20
2θ 33.29, I = 18
2θ 42.41, I = 17
2θ 25.52, I = 14
2θ 57.18, I = 14

---

Diffraction record for Ac6Ge3C. The powder diffraction line list is calculated, not measured: it uses a DFT-relaxed cell (GGA-PBE, Alexandria) and copper Kα.
Peak positions follow from Bragg's law for the DFT cell and can differ from measured ones.

Cell and atoms:
```
data_Ac6Ge3C
_chemical_formula_sum 'Ac12 Ge6 C2'
_cell_length_a 8.9778
_cell_length_b 8.9778
_cell_length_c 8.9778
_cell_angle_alpha 96.70
_cell_angle_beta 96.70
_cell_angle_gamma 96.70
_symmetry_space_group_name_H-M 'P 1'
_symmetry_Int_Tables_number 1
loop_
_symmetry_equiv_pos_as_xyz
'x,y,z'
loop_
_atom_site_label
_atom_site_type_symbol
_atom_site_fract_x
_atom_site_fract_y
_atom_site_fract_z
Ac1 Ac 0.0383 0.9247 0.6958
Ac2 Ac 0.0753 0.3042 0.9617
Ac3 Ac 0.2046 0.5535 0.4293
Ac4 Ac 0.3042 0.9617 0.0753
Ac5 Ac 0.4293 0.2046 0.5535
Ac6 Ac 0.4465 0.5707 0.7954
Ac7 Ac 0.5535 0.4293 0.2046
Ac8 Ac 0.5707 0.7954 0.4465
Ac9 Ac 0.6958 0.0383 0.9247
Ac10 Ac 0.7954 0.4465 0.5707
Ac11 Ac 0.9247 0.6958 0.0383
Ac12 Ac 0.9617 0.0753 0.3042
Ge1 Ge 0.1071 0.2793 0.6129
Ge2 Ge 0.2793 0.6129 0.1071
Ge3 Ge 0.3871 0.8929 0.7207
Ge4 Ge 0.6129 0.1071 0.2793
Ge5 Ge 0.7207 0.3871 0.8929
Ge6 Ge 0.8929 0.7207 0.3871
C1 C 0.0000 0.0000 0.0000
C2 C 0.5000 0.5000 0.5000
```

Largest 8 diffraction maxima, by intensity, 15° ≤ 2θ ≤ 90°:
2θ 24.12, I = 100
2θ 30.70, I = 75
2θ 33.30, I = 66
2θ 27.30, I = 51
2θ 35.40, I = 41
2θ 36.19, I = 36
2θ 48.43, I = 29
2θ 26.58, I = 29

---

Diffraction record for Hg4PbW. The powder diffraction line list is calculated, not measured: it uses a DFT-relaxed cell (GGA-PBE, Alexandria) and copper Kα.
Peak positions follow from Bragg's law for the DFT cell and can differ from measured ones.

Cell and atoms:
```
data_Hg4PbW
_chemical_formula_sum 'Hg4 Pb1 W1'
_cell_length_a 5.8844
_cell_length_b 5.8844
_cell_length_c 5.8844
_cell_angle_alpha 60.00
_cell_angle_beta 60.00
_cell_angle_gamma 60.00
_symmetry_space_group_name_H-M 'P 1'
_symmetry_Int_Tables_number 1
loop_
_symmetry_equiv_pos_as_xyz
'x,y,z'
loop_
_atom_site_label
_atom_site_type_symbol
_atom_site_fract_x
_atom_site_fract_y
_atom_site_fract_z
Hg1 Hg 0.1254 0.1254 0.1254
Hg2 Hg 0.1254 0.1254 0.6237
Hg3 Hg 0.1254 0.6237 0.1254
Hg4 Hg 0.6237 0.1254 0.1254
Pb1 Pb 0.7500 0.7500 0.7500
W1 W 0.5000 0.5000 0.5000
```

Largest 8 diffraction maxima, by intensity, 15° ≤ 2θ ≤ 90°:
2θ 35.79, I = 100
2θ 37.44, I = 42
2θ 57.55, I = 35
2θ 63.21, I = 31
2θ 30.38, I = 25
2θ 75.83, I = 17
2θ 74.81, I = 12
2θ 53.98, I = 10

---

Diffraction record for Cs2NpPdSe4. The powder diffraction line list is calculated, not measured: it uses a DFT-relaxed cell (GGA-PBE, Alexandria) and copper Kα.
Peak positions follow from Bragg's law for the DFT cell and can differ from measured ones.

Cell and atoms:
```
data_Cs2NpPdSe4
_chemical_formula_sum 'Cs4 Np2 Pd2 Se8'
_cell_length_a 15.0376
_cell_length_b 13.2521
_cell_length_c 8.4910
_cell_angle_alpha 84.50
_cell_angle_beta 61.31
_cell_angle_gamma 34.20
_symmetry_space_group_name_H-M 'P 1'
_symmetry_Int_Tables_number 1
loop_
_symmetry_equiv_pos_as_xyz
'x,y,z'
loop_
_atom_site_label
_atom_site_type_symbol
_atom_site_fract_x
_atom_site_fract_y
_atom_site_fract_z
Cs1 Cs 0.0535 0.0535 0.6965
Cs2 Cs 0.3035 0.3035 0.9465
Cs3 Cs 0.6965 0.6965 0.0535
Cs4 Cs 0.9465 0.9465 0.3035
Np1 Np 0.1250 0.1250 0.1250
Np2 Np 0.8750 0.8750 0.8750
Pd1 Pd 0.3750 0.3750 0.3750
Pd2 Pd 0.6250 0.6250 0.6250
Se1 Se 0.0075 0.3286 0.4564
Se2 Se 0.2925 0.5436 0.6714
Se3 Se 0.3286 0.0075 0.7075
Se4 Se 0.4564 0.7075 0.0075
Se5 Se 0.5436 0.2925 0.9925
Se6 Se 0.6714 0.9925 0.2925
Se7 Se 0.7075 0.4564 0.3286
Se8 Se 0.9925 0.6714 0.5436
```

Largest 8 diffraction maxima, by intensity, 15° ≤ 2θ ≤ 90°:
2θ 23.69, I = 100
2θ 27.90, I = 76
2θ 29.49, I = 50
2θ 41.63, I = 44
2θ 48.47, I = 43
2θ 34.42, I = 41
2θ 22.02, I = 39
2θ 44.33, I = 37

---

Diffraction record for Sr2TiPb2. The powder diffraction line list is calculated, not measured: it uses a DFT-relaxed cell (GGA-PBE, Alexandria) and copper Kα.
Peak positions follow from Bragg's law for the DFT cell and can differ from measured ones.

Cell and atoms:
```
data_Sr2TiPb2
_chemical_formula_sum 'Sr4 Ti2 Pb4'
_cell_length_a 7.9226
_cell_length_b 7.9226
_cell_length_c 5.1547
_cell_angle_alpha 90.00
_cell_angle_beta 90.00
_cell_angle_gamma 90.00
_symmetry_space_group_name_H-M 'P 1'
_symmetry_Int_Tables_number 1
loop_
_symmetry_equiv_pos_as_xyz
'x,y,z'
loop_
_atom_site_label
_atom_site_type_symbol
_atom_site_fract_x
_atom_site_fract_y
_atom_site_fract_z
Sr1 Sr 0.1668 0.3332 0.0000
Sr2 Sr 0.3332 0.8332 0.0000
Sr3 Sr 0.6668 0.1668 0.0000
Sr4 Sr 0.8332 0.6668 0.0000
Ti1 Ti 0.0000 0.0000 0.5000
Ti2 Ti 0.5000 0.5000 0.5000
Pb1 Pb 0.1445 0.6445 0.5000
Pb2 Pb 0.3555 0.1445 0.5000
Pb3 Pb 0.6445 0.8555 0.5000
Pb4 Pb 0.8555 0.3555 0.5000
```

Largest 8 diffraction maxima, by intensity, 15° ≤ 2θ ≤ 90°:
2θ 30.62, I = 100
2θ 35.84, I = 22
2θ 17.20, I = 19
2θ 34.81, I = 18
2θ 50.82, I = 16
2θ 66.04, I = 16
2θ 59.82, I = 15
2θ 15.82, I = 13

---

Diffraction record for TlCu4Se2. The powder diffraction line list is calculated, not measured: it uses a DFT-relaxed cell (GGA-PBE, Alexandria) and copper Kα.
Peak positions follow from Bragg's law for the DFT cell and can differ from measured ones.

Cell and atoms:
```
data_TlCu4Se2
_chemical_formula_sum 'Tl1 Cu4 Se2'
_cell_length_a 9.3430
_cell_length_b 9.3430
_cell_length_c 9.3430
_cell_angle_alpha 25.35
_cell_angle_beta 25.35
_cell_angle_gamma 25.35
_symmetry_space_group_name_H-M 'P 1'
_symmetry_Int_Tables_number 1
loop_
_symmetry_equiv_pos_as_xyz
'x,y,z'
loop_
_atom_site_label
_atom_site_type_symbol
_atom_site_fract_x
_atom_site_fract_y
_atom_site_fract_z
Tl1 Tl 0.0000 0.0000 0.0000
Cu1 Cu 0.1609 0.1609 0.1609
Cu2 Cu 0.4520 0.4520 0.4520
Cu3 Cu 0.5480 0.5480 0.5480
Cu4 Cu 0.8391 0.8391 0.8391
Se1 Se 0.2509 0.2509 0.2509
Se2 Se 0.7491 0.7491 0.7491
```

Largest 8 diffraction maxima, by intensity, 15° ≤ 2θ ≤ 90°:
2θ 44.18, I = 100
2θ 28.37, I = 86
2θ 34.26, I = 71
2θ 30.08, I = 38
2θ 44.76, I = 32
2θ 50.77, I = 26
2θ 61.03, I = 25
2θ 25.30, I = 21